Theoretical PXRD pattern of LiDyAgHg for Cu Kα X-rays, from a PBE-relaxed structure.

Structural model:
abc: 4.699 4.699 7.812
angles: 90.00 90.00 90.00
Space group I-4m2 (No. 119)
Symmetry-distinct sites (fractional):
Li: 0.000 0.000 0.000 [2 per cell]
Dy: 0.000 0.000 0.500 [2 per cell]
Ag: 0.000 0.500 0.250 [2 per cell]
Hg: 0.000 0.500 0.750 [2 per cell]

Main lines, by angle (10° ≤ 2θ ≤ 80°):
22.08°, rel. 45; 26.83°, rel. 10; 35.47°, rel. 100; 38.31°, rel. 41; 39.57°, rel. 10; 44.66°, rel. 15; 46.50°, rel. 12; 55.30°, rel. 14; 61.77°, rel. 20; 67.43°, rel. 31; 75.07°, rel. 11; 78.98°, rel. 10